Entry 1:
# YCd5Au6
Simulated powder diffractogram, λ = 1.5418 Å (Cu Kα). Input: a crystal structure in Alexandria, relaxed with GGA-PBE.
Lines closer than 0.1° are merged.

Structure:
```
data_YCd5Au6
_cell_length_a 8.6928
_cell_length_b 13.9845
_cell_length_c 4.7688
_cell_angle_alpha 90.00
_cell_angle_beta 123.19
_cell_angle_gamma 90.00
_space_group_name_H-M_alt 'C 1 2/m 1'
_space_group_IT_number 12
loop_
_space_group_symop_operation_xyz
'x,y,z'
'-x,-y,-z'
'-x,y,-z'
'x,-y,z'
'x+1/2,y+1/2,z'
'-x+1/2,-y+1/2,-z'
'-x+1/2,y+1/2,-z'
'x+1/2,-y+1/2,z'
loop_
_atom_site_label
_atom_site_type_symbol
_atom_site_fract_x
_atom_site_fract_y
_atom_site_fract_z
Y1 Y 0.0000 0.0000 0.0000
Cd1 Cd 0.0000 0.1634 0.5000
Cd2 Cd 0.0000 0.3318 0.0000
Cd3 Cd 0.0000 0.5000 0.5000
Au1 Au 0.2435 0.5000 0.2430
Au2 Au 0.2446 0.3308 0.7421
```

Most intense lines, 5° ≤ 2θ ≤ 70°, most intense first:
2θ/deg  d_spacing  Rel. int.
36.56  2.458  100
37.73  2.384  23
38.63  2.331  21
68.56  1.369  16
55.10  1.667  15
50.16  1.819  10
65.05  1.434  9
26.74  3.333  9

---

Entry 2:
# Mn2PPt
Simulated powder diffractogram, λ = 1.5418 Å (Cu Kα). Input: a crystal structure in Alexandria, relaxed with GGA-PBE.
Lines closer than 0.1° are merged.

Structure:
```
data_Mn2PPt
_cell_length_a 2.8506
_cell_length_b 2.8506
_cell_length_c 6.5087
_cell_angle_alpha 90.00
_cell_angle_beta 90.00
_cell_angle_gamma 90.00
_space_group_name_H-M_alt 'P 4 m m'
_space_group_IT_number 99
loop_
_space_group_symop_operation_xyz
'x,y,z'
'-y,x,z'
'-x,-y,z'
'y,-x,z'
'-x,y,z'
'y,x,z'
'x,-y,z'
'-y,-x,z'
loop_
_atom_site_label
_atom_site_type_symbol
_atom_site_fract_x
_atom_site_fract_y
_atom_site_fract_z
Mn1 Mn 0.0000 0.0000 0.0000
Mn2 Mn 0.5000 0.5000 0.2720
P1 P 0.0000 0.0000 0.4276
Pt1 Pt 0.5000 0.5000 0.7121
```

Most intense lines, 5° ≤ 2θ ≤ 70°, most intense first:
2θ/deg  d_spacing  Rel. int.
42.14  2.144  100
13.60  6.509  53
34.34  2.611  49
44.97  2.016  47
31.38  2.851  29
27.41  3.254  19
62.94  1.477  17
65.49  1.425  15

---

Entry 3:
# PPd3
Simulated powder diffractogram, λ = 1.5418 Å (Cu Kα). Input: a crystal structure in Alexandria, relaxed with GGA-PBE.
Lines closer than 0.1° are merged.

Structure:
```
data_PPd3
_cell_length_a 5.5543
_cell_length_b 5.5543
_cell_length_c 4.7422
_cell_angle_alpha 90.00
_cell_angle_beta 90.00
_cell_angle_gamma 120.00
_space_group_name_H-M_alt 'P 63'
_space_group_IT_number 173
loop_
_space_group_symop_operation_xyz
'x,y,z'
'x-y,x,z+1/2'
'-y,x-y,z'
'-x,-y,z+1/2'
'-x+y,-x,z'
'y,-x+y,z+1/2'
loop_
_atom_site_label
_atom_site_type_symbol
_atom_site_fract_x
_atom_site_fract_y
_atom_site_fract_z
P1 P 0.3333 0.6667 0.0000
Pd1 Pd 0.0418 0.7186 0.3192
```

Most intense lines, 5° ≤ 2θ ≤ 70°, most intense first:
2θ/deg  d_spacing  Rel. int.
37.53  2.396  100
37.95  2.371  23
50.62  1.803  19
68.27  1.374  17
32.23  2.777  17
57.48  1.603  16
42.13  2.145  14
54.02  1.698  8

---

Entry 4:
# Cd8Hg3
Simulated powder diffractogram, λ = 1.5418 Å (Cu Kα). Input: a crystal structure in Alexandria, relaxed with GGA-PBE.
Lines closer than 0.1° are merged.

Structure:
```
data_Cd8Hg3
_cell_length_a 9.6095
_cell_length_b 4.1885
_cell_length_c 12.9211
_cell_angle_alpha 90.00
_cell_angle_beta 93.23
_cell_angle_gamma 90.00
_space_group_name_H-M_alt 'C 1 2/m 1'
_space_group_IT_number 12
loop_
_space_group_symop_operation_xyz
'x,y,z'
'-x,-y,-z'
'-x,y,-z'
'x,-y,z'
'x+1/2,y+1/2,z'
'-x+1/2,-y+1/2,-z'
'-x+1/2,y+1/2,-z'
'x+1/2,-y+1/2,z'
loop_
_atom_site_label
_atom_site_type_symbol
_atom_site_fract_x
_atom_site_fract_y
_atom_site_fract_z
Cd1 Cd 0.0466 0.0000 0.3193
Cd2 Cd 0.1353 0.0000 0.9535
Cd3 Cd 0.1803 0.5000 0.7698
Cd4 Cd 0.2268 0.0000 0.5921
Hg1 Hg 0.0000 0.5000 0.5000
Hg2 Hg 0.0916 0.5000 0.1360
```

Most intense lines, 5° ≤ 2θ ≤ 70°, most intense first:
2θ/deg  d_spacing  Rel. int.
31.59  2.832  100
37.44  2.402  63
59.32  1.558  32
38.56  2.335  29
38.68  2.328  29
43.20  2.094  21
47.29  1.922  16
61.74  1.503  14

---

Entry 5:
# Mn3Au4
Simulated powder diffractogram, λ = 1.5418 Å (Cu Kα). Input: a crystal structure in Alexandria, relaxed with GGA-PBE.
Lines closer than 0.1° are merged.

Structure:
```
data_Mn3Au4
_cell_length_a 3.4071
_cell_length_b 3.4071
_cell_length_c 20.2778
_cell_angle_alpha 90.00
_cell_angle_beta 90.00
_cell_angle_gamma 90.00
_space_group_name_H-M_alt 'I 4/m m m'
_space_group_IT_number 139
_space_group_name_Hall '-I 4 2'
loop_
_atom_site_label
_atom_site_type_symbol
_atom_site_fract_x
_atom_site_fract_y
_atom_site_fract_z
Mn1 Mn 0.0000 0.0000 0.0000
Mn2 Mn 0.0000 0.0000 0.2885
Au1 Au 0.0000 0.0000 0.1507
Au2 Au 0.0000 0.0000 0.4305
```

Most intense lines, 5° ≤ 2θ ≤ 70°, most intense first:
2θ/deg  d_spacing  Rel. int.
40.89  2.207  100
37.33  2.409  68
69.73  1.349  41
29.36  3.042  33
53.81  1.704  24
17.49  5.069  16
62.48  1.486  9
41.50  2.176  8

---

Entry 6:
# Na2LiAl12Pd3
Simulated powder diffractogram, λ = 1.5418 Å (Cu Kα). Input: a crystal structure in Alexandria, relaxed with GGA-PBE.
Lines closer than 0.1° are merged.

Structure:
```
data_Na2LiAl12Pd3
_cell_length_a 9.3513
_cell_length_b 9.3513
_cell_length_c 12.7730
_cell_angle_alpha 90.00
_cell_angle_beta 90.00
_cell_angle_gamma 120.00
_space_group_name_H-M_alt 'R -3 m'
_space_group_IT_number 166
_space_group_name_Hall '-R 3 2"'
loop_
_atom_site_label
_atom_site_type_symbol
_atom_site_fract_x
_atom_site_fract_y
_atom_site_fract_z
Na1 Na 0.0000 0.0000 0.1002
Li1 Li 0.0000 0.0000 0.5000
Al1 Al 0.0060 0.5030 0.2004
Al2 Al 0.0567 0.5284 0.4033
Pd1 Pd 0.0000 0.5000 0.0000
```

Most intense lines, 5° ≤ 2θ ≤ 70°, most intense first:
2θ/deg  d_spacing  Rel. int.
38.51  2.338  100
23.04  3.860  78
41.81  2.161  62
26.06  3.420  46
18.98  4.676  34
46.29  1.961  20
36.89  2.436  19
58.14  1.587  19

---

Entry 7:
# RbThSeS
Simulated powder diffractogram, λ = 1.5418 Å (Cu Kα). Input: a crystal structure in Alexandria, relaxed with GGA-PBE.
Lines closer than 0.1° are merged.

Structure:
```
data_RbThSeS
_cell_length_a 4.1578
_cell_length_b 4.1578
_cell_length_c 24.7107
_cell_angle_alpha 90.00
_cell_angle_beta 90.00
_cell_angle_gamma 120.00
_space_group_name_H-M_alt 'R 3 m'
_space_group_IT_number 160
_space_group_name_Hall 'R 3 -2"'
loop_
_atom_site_label
_atom_site_type_symbol
_atom_site_fract_x
_atom_site_fract_y
_atom_site_fract_z
Rb1 Rb 0.0000 0.0000 0.0000
Th1 Th 0.0000 0.0000 0.8343
Se1 Se 0.0000 0.0000 0.4293
S1 S 0.0000 0.0000 0.2323
```

Most intense lines, 5° ≤ 2θ ≤ 70°, most intense first:
2θ/deg  d_spacing  Rel. int.
30.72  2.910  100
10.74  8.237  71
25.77  3.457  64
35.62  2.521  51
43.53  2.079  46
24.99  3.563  36
21.58  4.118  23
63.60  1.463  23

---

Entry 8:
# BaNaUS4
Simulated powder diffractogram, λ = 1.5418 Å (Cu Kα). Input: a crystal structure in Alexandria, relaxed with GGA-PBE.
Lines closer than 0.1° are merged.

Structure:
```
data_BaNaUS4
_cell_length_a 5.2097
_cell_length_b 5.2097
_cell_length_c 15.3644
_cell_angle_alpha 90.00
_cell_angle_beta 90.00
_cell_angle_gamma 90.00
_space_group_name_H-M_alt 'I 4 m m'
_space_group_IT_number 107
_space_group_name_Hall 'I 4 -2'
loop_
_atom_site_label
_atom_site_type_symbol
_atom_site_fract_x
_atom_site_fract_y
_atom_site_fract_z
Ba1 Ba 0.0000 0.0000 0.0000
Na1 Na 0.0000 0.0000 0.2855
U1 U 0.0000 0.0000 0.6400
S1 S 0.0000 0.0000 0.4720
S2 S 0.0000 0.0000 0.8024
S3 S 0.0000 0.5000 0.1366
```

Most intense lines, 5° ≤ 2θ ≤ 70°, most intense first:
2θ/deg  d_spacing  Rel. int.
24.37  3.652  100
11.52  7.682  99
24.16  3.684  83
17.98  4.934  75
34.43  2.605  61
33.87  2.647  49
42.63  2.121  48
49.07  1.857  35